(1)
La3NdEr6: computed X-ray powder pattern (CuKα), based on a cell relaxed with GGA-PBE.

The 10 most intense peaks (15 to 90 degrees two-theta), in order of rising 2θ:
- 3.421 Å, 2θ = 26.05°, intensity 21
- 3.210 Å, 2θ = 27.79°, intensity 15
- 2.989 Å, 2θ = 29.90°, intensity 17
- 2.907 Å, 2θ = 30.76°, intensity 20
- 2.843 Å, 2θ = 31.47°, intensity 32
- 2.824 Å, 2θ = 31.68°, intensity 100
- 2.743 Å, 2θ = 32.65°, intensity 18
- 2.691 Å, 2θ = 33.30°, intensity 24
- 2.492 Å, 2θ = 36.05°, intensity 22
- 2.386 Å, 2θ = 37.71°, intensity 15

Crystal structure
abc: 9.9791 9.9791 6.8617
angles: 90.00 90.00 93.46
Fractional coordinates of all 20 atoms:
La (0.1046, 0.8954, 0.5000)
La (0.2582, 0.3344, 0.2221)
La (0.3344, 0.2582, 0.7221)
La (0.6656, 0.7418, 0.2221)
La (0.7418, 0.6656, 0.7221)
La (0.8954, 0.1046, 0.0000)
Nd (0.3094, 0.6906, 0.6820)
Nd (0.6906, 0.3094, 0.1820)
Er (0.0125, 0.2189, 0.5054)
Er (0.0254, 0.4504, 0.8906)
Er (0.2189, 0.0125, 0.0054)
Er (0.2870, 0.7130, 0.1859)
Er (0.4504, 0.0254, 0.3906)
Er (0.4889, 0.5111, 0.9532)
Er (0.5111, 0.4889, 0.4532)
Er (0.5496, 0.9746, 0.8906)
Er (0.7130, 0.2870, 0.6859)
Er (0.7811, 0.9875, 0.5054)
Er (0.9746, 0.5496, 0.3906)
Er (0.9875, 0.7811, 0.0054)

=====

(2)
Dy8In2Hg: computed X-ray powder pattern (CuKα), based on a cell relaxed with GGA-PBE.

The 10 most intense peaks (15 to 90 degrees two-theta), in order of rising 2θ:
- 2.804 Å, 2θ = 31.91°, intensity 29
- 2.786 Å, 2θ = 32.13°, intensity 16
- 2.715 Å, 2θ = 32.99°, intensity 100
- 2.558 Å, 2θ = 35.08°, intensity 28
- 2.432 Å, 2θ = 36.96°, intensity 16
- 1.884 Å, 2θ = 48.31°, intensity 11
- 1.763 Å, 2θ = 51.88°, intensity 12
- 1.505 Å, 2θ = 61.62°, intensity 17
- 1.477 Å, 2θ = 62.92°, intensity 11
- 1.404 Å, 2θ = 66.60°, intensity 9

Crystal structure
abc: 8.8260 8.8260 8.8260
angles: 146.31 122.33 68.48
Fractional coordinates of all 11 atoms:
Dy (0.1242, 0.3427, 0.7814)
Dy (0.1384, 0.1384, 0.0000)
Dy (0.3120, 0.0000, 0.3120)
Dy (0.4387, 0.6573, 0.7814)
Dy (0.5613, 0.3427, 0.2186)
Dy (0.6880, 0.0000, 0.6880)
Dy (0.8616, 0.8616, 0.0000)
Dy (0.8758, 0.6573, 0.2186)
In (0.3041, 0.8041, 0.5000)
In (0.6959, 0.1959, 0.5000)
Hg (0.0000, 0.5000, 0.5000)

=====

(3)
Ca2In5PdPt2: computed X-ray powder pattern (CuKα), based on a cell relaxed with GGA-PBE.

The 10 most intense peaks (15 to 90 degrees two-theta), in order of rising 2θ:
- 4.638 Å, 2θ = 19.14°, intensity 57
- 2.748 Å, 2θ = 32.58°, intensity 12
- 2.573 Å, 2θ = 34.86°, intensity 100
- 2.515 Å, 2θ = 35.70°, intensity 19
- 2.364 Å, 2θ = 38.06°, intensity 56
- 2.199 Å, 2θ = 41.04°, intensity 18
- 2.076 Å, 2θ = 43.60°, intensity 25
- 1.895 Å, 2θ = 48.02°, intensity 11
- 1.546 Å, 2θ = 59.81°, intensity 13
- 1.275 Å, 2θ = 74.40°, intensity 11

Crystal structure
abc: 10.3705 10.3705 4.1518
angles: 90.00 90.00 90.00
Fractional coordinates of all 20 atoms:
Ca (0.1755, 0.3245, 0.0000)
Ca (0.3245, 0.8245, 0.0000)
Ca (0.6755, 0.1755, 0.0000)
Ca (0.8245, 0.6755, 0.0000)
In (0.0000, 0.5000, 0.5000)
In (0.0645, 0.8034, 0.5000)
In (0.1966, 0.0645, 0.5000)
In (0.3034, 0.5645, 0.5000)
In (0.4355, 0.3034, 0.5000)
In (0.5000, 0.0000, 0.5000)
In (0.5645, 0.6966, 0.5000)
In (0.6966, 0.4355, 0.5000)
In (0.8034, 0.9355, 0.5000)
In (0.9355, 0.1966, 0.5000)
Pd (0.0000, 0.0000, 0.0000)
Pd (0.5000, 0.5000, 0.0000)
Pt (0.1244, 0.6244, 0.0000)
Pt (0.3756, 0.1244, 0.0000)
Pt (0.6244, 0.8756, 0.0000)
Pt (0.8756, 0.3756, 0.0000)

=====

(4)
Na12MgHg6: computed X-ray powder pattern (CuKα), based on a cell relaxed with GGA-PBE.

The 10 most intense peaks (15 to 90 degrees two-theta), in order of rising 2θ:
- 5.851 Å, 2θ = 15.14°, intensity 37
- 5.617 Å, 2θ = 15.78°, intensity 47
- 4.883 Å, 2θ = 18.17°, intensity 39
- 4.052 Å, 2θ = 21.93°, intensity 56
- 3.685 Å, 2θ = 24.15°, intensity 62
- 3.566 Å, 2θ = 24.97°, intensity 29
- 2.654 Å, 2θ = 33.78°, intensity 100
- 2.595 Å, 2θ = 34.57°, intensity 56
- 2.532 Å, 2θ = 35.45°, intensity 51
- 2.510 Å, 2θ = 35.78°, intensity 27

Crystal structure
abc: 8.1184 8.1184 8.1184
angles: 87.56 87.56 87.56
Fractional coordinates of all 19 atoms:
Na (0.0286, 0.3081, 0.9237)
Na (0.0763, 0.9714, 0.6919)
Na (0.1207, 0.3497, 0.4710)
Na (0.3081, 0.9237, 0.0286)
Na (0.3497, 0.4710, 0.1207)
Na (0.4710, 0.1207, 0.3497)
Na (0.5290, 0.8793, 0.6503)
Na (0.6503, 0.5290, 0.8793)
Na (0.6919, 0.0763, 0.9714)
Na (0.8793, 0.6503, 0.5290)
Na (0.9237, 0.0286, 0.3081)
Na (0.9714, 0.6919, 0.0763)
Mg (0.5000, 0.5000, 0.5000)
Hg (0.2339, 0.7557, 0.3857)
Hg (0.2443, 0.6143, 0.7661)
Hg (0.3857, 0.2339, 0.7557)
Hg (0.6143, 0.7661, 0.2443)
Hg (0.7557, 0.3857, 0.2339)
Hg (0.7661, 0.2443, 0.6143)

=====

(5)
Tb3Pr3Ag2: computed X-ray powder pattern (CuKα), based on a cell relaxed with GGA-PBE.

The 10 most intense peaks (15 to 90 degrees two-theta), in order of rising 2θ:
- 3.125 Å, 2θ = 28.57°, intensity 40
- 3.058 Å, 2θ = 29.21°, intensity 100
- 2.889 Å, 2θ = 30.95°, intensity 35
- 2.696 Å, 2θ = 33.23°, intensity 89
- 2.653 Å, 2θ = 33.79°, intensity 32
- 2.591 Å, 2θ = 34.62°, intensity 58
- 2.368 Å, 2θ = 38.00°, intensity 21
- 1.929 Å, 2θ = 47.11°, intensity 22
- 1.748 Å, 2θ = 52.34°, intensity 16
- 1.516 Å, 2θ = 61.15°, intensity 24

Crystal structure
abc: 6.4214 6.4214 16.0022
angles: 90.00 90.00 132.41
Fractional coordinates of all 16 atoms:
Tb (0.0812, 0.9188, 0.7500)
Tb (0.1446, 0.8554, 0.0331)
Tb (0.1446, 0.8554, 0.4669)
Tb (0.8554, 0.1446, 0.5331)
Tb (0.8554, 0.1446, 0.9669)
Tb (0.9188, 0.0812, 0.2500)
Pr (0.2038, 0.7962, 0.2500)
Pr (0.4583, 0.5417, 0.1083)
Pr (0.4583, 0.5417, 0.3917)
Pr (0.5417, 0.4583, 0.6083)
Pr (0.5417, 0.4583, 0.8917)
Pr (0.7962, 0.2038, 0.7500)
Ag (0.2690, 0.7310, 0.6236)
Ag (0.2690, 0.7310, 0.8764)
Ag (0.7310, 0.2690, 0.1236)
Ag (0.7310, 0.2690, 0.3764)

=====

(6)
Y4Er5Tl2: computed X-ray powder pattern (CuKα), based on a cell relaxed with GGA-PBE.

The 10 most intense peaks (15 to 90 degrees two-theta), in order of rising 2θ:
- 4.198 Å, 2θ = 21.16°, intensity 13
- 2.830 Å, 2θ = 31.61°, intensity 100
- 2.703 Å, 2θ = 33.14°, intensity 21
- 2.592 Å, 2θ = 34.61°, intensity 98
- 1.912 Å, 2θ = 47.57°, intensity 32
- 1.538 Å, 2θ = 60.15°, intensity 32
- 1.496 Å, 2θ = 62.02°, intensity 18
- 1.454 Å, 2θ = 64.06°, intensity 17
- 1.296 Å, 2θ = 73.00°, intensity 11
- 1.178 Å, 2θ = 81.73°, intensity 15

Crystal structure
abc: 16.0817 16.0817 16.0817
angles: 18.55 18.55 18.55
Fractional coordinates of all 11 atoms:
Y (0.0727, 0.0727, 0.0727)
Y (0.2245, 0.2245, 0.2245)
Y (0.7755, 0.7755, 0.7755)
Y (0.9273, 0.9273, 0.9273)
Er (0.0000, 0.0000, 0.0000)
Er (0.1482, 0.1482, 0.1482)
Er (0.3016, 0.3016, 0.3016)
Er (0.6984, 0.6984, 0.6984)
Er (0.8518, 0.8518, 0.8518)
Tl (0.3781, 0.3781, 0.3781)
Tl (0.6219, 0.6219, 0.6219)

=====

(7)
Ba2Os3PbO12: computed X-ray powder pattern (CuKα), based on a cell relaxed with GGA-PBE.

The 10 most intense peaks (15 to 90 degrees two-theta), in order of rising 2θ:
- 5.624 Å, 2θ = 15.76°, intensity 13
- 3.138 Å, 2θ = 28.45°, intensity 44
- 3.084 Å, 2θ = 28.96°, intensity 66
- 2.985 Å, 2θ = 29.93°, intensity 100
- 1.991 Å, 2θ = 45.56°, intensity 21
- 1.963 Å, 2θ = 46.24°, intensity 22
- 1.844 Å, 2θ = 49.44°, intensity 35
- 1.760 Å, 2θ = 51.96°, intensity 23
- 1.569 Å, 2θ = 58.88°, intensity 25
- 1.492 Å, 2θ = 62.23°, intensity 21

Crystal structure
abc: 7.0536 7.0536 7.0536
angles: 63.03 63.03 63.03
Fractional coordinates of all 18 atoms:
Ba (0.1109, 0.1109, 0.1109)
Ba (0.8891, 0.8891, 0.8891)
Os (0.0000, 0.5000, 0.5000)
Os (0.5000, 0.0000, 0.5000)
Os (0.5000, 0.5000, 0.0000)
Pb (0.5000, 0.5000, 0.5000)
O (0.0559, 0.6342, 0.6342)
O (0.2196, 0.2196, 0.6157)
O (0.2196, 0.6157, 0.2196)
O (0.3658, 0.3658, 0.9441)
O (0.3658, 0.9441, 0.3658)
O (0.3843, 0.7804, 0.7804)
O (0.6157, 0.2196, 0.2196)
O (0.6342, 0.0559, 0.6342)
O (0.6342, 0.6342, 0.0559)
O (0.7804, 0.3843, 0.7804)
O (0.7804, 0.7804, 0.3843)
O (0.9441, 0.3658, 0.3658)

=====

(8)
La5Pm5Ge6: computed X-ray powder pattern (CuKα), based on a cell relaxed with GGA-PBE.

The 10 most intense peaks (15 to 90 degrees two-theta), in order of rising 2θ:
- 3.098 Å, 2θ = 28.82°, intensity 31
- 2.920 Å, 2θ = 30.61°, intensity 26
- 2.694 Å, 2θ = 33.25°, intensity 100
- 2.681 Å, 2θ = 33.42°, intensity 65
- 2.675 Å, 2θ = 33.51°, intensity 34
- 2.576 Å, 2θ = 34.83°, intensity 33
- 2.567 Å, 2θ = 34.96°, intensity 16
- 1.859 Å, 2θ = 49.00°, intensity 18
- 1.784 Å, 2θ = 51.20°, intensity 30
- 1.413 Å, 2θ = 66.12°, intensity 15

Crystal structure
abc: 6.7648 8.9021 8.9021
angles: 119.76 90.00 90.00
Fractional coordinates of all 16 atoms:
La (0.0000, 0.0000, 0.0000)
La (0.0000, 0.5045, 0.7504)
La (0.0000, 0.7504, 0.5045)
La (0.5000, 0.7520, 0.9995)
La (0.5000, 0.9995, 0.7520)
Pm (0.2505, 0.0854, 0.4182)
Pm (0.2505, 0.4182, 0.0854)
Pm (0.5000, 0.5003, 0.5003)
Pm (0.7495, 0.0854, 0.4182)
Pm (0.7495, 0.4182, 0.0854)
Ge (0.0000, 0.1465, 0.7511)
Ge (0.0000, 0.3558, 0.3558)
Ge (0.0000, 0.7511, 0.1465)
Ge (0.5000, 0.1488, 0.1488)
Ge (0.5000, 0.3584, 0.7479)
Ge (0.5000, 0.7479, 0.3584)

=====

(9)
BaSnPdO4: computed X-ray powder pattern (CuKα), based on a cell relaxed with GGA-PBE.

The 10 most intense peaks (15 to 90 degrees two-theta), in order of rising 2θ:
- 5.512 Å, 2θ = 16.08°, intensity 17
- 3.534 Å, 2θ = 25.20°, intensity 40
- 3.324 Å, 2θ = 26.82°, intensity 75
- 3.122 Å, 2θ = 28.59°, intensity 17
- 2.761 Å, 2θ = 32.43°, intensity 42
- 2.718 Å, 2θ = 32.96°, intensity 100
- 2.206 Å, 2θ = 40.91°, intensity 31
- 1.767 Å, 2θ = 51.74°, intensity 41
- 1.714 Å, 2θ = 53.47°, intensity 32
- 1.662 Å, 2θ = 55.28°, intensity 18

Crystal structure
abc: 7.3627 7.3627 7.3627
angles: 129.89 129.73 73.71
Fractional coordinates of all 14 atoms:
Ba (0.4065, 0.1565, 0.2500)
Ba (0.5935, 0.8435, 0.7500)
Sn (0.0000, 0.5000, 0.5000)
Sn (0.5000, 0.5000, 0.0000)
Pd (0.0000, 0.0000, 0.5000)
Pd (0.0000, 0.5000, 0.0000)
O (0.1442, 0.6894, 0.4547)
O (0.2613, 0.2959, 0.5346)
O (0.2613, 0.7267, 0.9654)
O (0.2653, 0.3106, 0.9547)
O (0.7347, 0.6894, 0.0453)
O (0.7387, 0.2733, 0.0346)
O (0.7387, 0.7041, 0.4654)
O (0.8558, 0.3106, 0.5453)

=====

(10)
Ac2Pt4Pb3: computed X-ray powder pattern (CuKα), based on a cell relaxed with GGA-PBE.

The 10 most intense peaks (15 to 90 degrees two-theta), in order of rising 2θ:
- 2.884 Å, 2θ = 31.00°, intensity 27
- 2.859 Å, 2θ = 31.28°, intensity 100
- 2.721 Å, 2θ = 32.91°, intensity 17
- 2.625 Å, 2θ = 34.15°, intensity 21
- 2.498 Å, 2θ = 35.94°, intensity 88
- 2.460 Å, 2θ = 36.53°, intensity 32
- 2.320 Å, 2θ = 38.81°, intensity 33
- 2.179 Å, 2θ = 41.45°, intensity 21
- 1.660 Å, 2θ = 55.33°, intensity 20
- 1.442 Å, 2θ = 64.65°, intensity 24

Crystal structure
abc: 9.3271 9.3271 7.6920
angles: 90.00 90.00 138.74
Fractional coordinates of all 18 atoms:
Ac (0.1034, 0.8966, 0.9135)
Ac (0.3966, 0.6034, 0.4135)
Ac (0.6034, 0.3966, 0.5865)
Ac (0.8966, 0.1034, 0.0865)
Pt (0.1640, 0.8360, 0.5273)
Pt (0.1829, 0.3171, 0.7500)
Pt (0.3171, 0.1829, 0.2500)
Pt (0.3360, 0.6640, 0.0273)
Pt (0.6640, 0.3360, 0.9727)
Pt (0.6829, 0.8171, 0.7500)
Pt (0.8171, 0.6829, 0.2500)
Pt (0.8360, 0.1640, 0.4727)
Pb (0.0000, 0.0000, 0.5000)
Pb (0.0162, 0.4838, 0.7500)
Pb (0.4838, 0.0162, 0.2500)
Pb (0.5000, 0.5000, 0.0000)
Pb (0.5162, 0.9838, 0.7500)
Pb (0.9838, 0.5162, 0.2500)

=====

(11)
Cs6AuO2: computed X-ray powder pattern (CuKα), based on a cell relaxed with GGA-PBE.

The 10 most intense peaks (15 to 90 degrees two-theta), in order of rising 2θ:
- 4.119 Å, 2θ = 21.57°, intensity 20
- 3.538 Å, 2θ = 25.17°, intensity 100
- 3.361 Å, 2θ = 26.52°, intensity 34
- 2.839 Å, 2θ = 31.52°, intensity 49
- 2.369 Å, 2θ = 37.99°, intensity 16
- 2.262 Å, 2θ = 39.86°, intensity 18
- 2.249 Å, 2θ = 40.10°, intensity 20
- 1.860 Å, 2θ = 48.96°, intensity 14
- 1.823 Å, 2θ = 50.03°, intensity 14
- 1.800 Å, 2θ = 50.71°, intensity 13

Crystal structure
abc: 9.3984 9.3984 9.3984
angles: 49.27 49.27 49.27
Fractional coordinates of all 9 atoms:
Cs (0.0065, 0.3907, 0.6028)
Cs (0.1342, 0.7319, 0.5459)
Cs (0.3907, 0.6028, 0.0065)
Cs (0.5459, 0.1342, 0.7319)
Cs (0.6028, 0.0065, 0.3907)
Cs (0.7319, 0.5459, 0.1342)
Au (0.2103, 0.2103, 0.2103)
O (0.4028, 0.4028, 0.4028)
O (0.7343, 0.7343, 0.7343)

=====

(12)
Ho2Mg3: computed X-ray powder pattern (CuKα), based on a cell relaxed with GGA-PBE.

The 10 most intense peaks (15 to 90 degrees two-theta), in order of rising 2θ:
- 3.738 Å, 2θ = 23.80°, intensity 57
- 2.643 Å, 2θ = 33.92°, intensity 100
- 2.158 Å, 2θ = 41.86°, intensity 18
- 1.869 Å, 2θ = 48.72°, intensity 18
- 1.672 Å, 2θ = 54.93°, intensity 24
- 1.526 Å, 2θ = 60.69°, intensity 37
- 1.322 Å, 2θ = 71.37°, intensity 11
- 1.246 Å, 2θ = 76.44°, intensity 11
- 1.182 Å, 2θ = 81.38°, intensity 11
- 1.181 Å, 2θ = 81.49°, intensity 5

Crystal structure
abc: 3.7396 3.7396 18.6735
angles: 90.00 90.00 90.00
Fractional coordinates of all 10 atoms:
Ho (0.0000, 0.0000, 0.1020)
Ho (0.0000, 0.0000, 0.3023)
Ho (0.0000, 0.0000, 0.6977)
Ho (0.0000, 0.0000, 0.8980)
Mg (0.0000, 0.0000, 0.5000)
Mg (0.5000, 0.5000, 0.0000)
Mg (0.5000, 0.5000, 0.2024)
Mg (0.5000, 0.5000, 0.4096)
Mg (0.5000, 0.5000, 0.5904)
Mg (0.5000, 0.5000, 0.7976)